Starting from a DFT-relaxed cell (PBE, Alexandria), the XRD peak list of Mg2SnAs2 was computed for Cu Kα (λ = 1.5418 Å).
Intensities are scaled so that the largest is 100.

Cell and atoms:
Lattice parameters (Å, degrees): 8.216 8.216 3.211 90.00 90.00 90.00
Space group P4/mbm (No. 127)
Asymmetric unit:
Mg1 0.140 0.360 0.000
Sn1 0.000 0.000 0.500
As1 0.158 0.658 0.500

Peak list (6 most intense, 2θ from 10° to 90°, by intensity)
two_theta  d_spacing  I_rel  hkl
34.5  2.598  100  3 1 0
37.2  2.418  74  2 1 1
44.9  2.020  55  3 1 1
27.8  3.211  41  0 0 1
24.2  3.675  29  2 1 0
30.8  2.905  27  2 2 0



Starting from a DFT-relaxed cell (PBE, Alexandria), the XRD peak list of Sr2MgAs2 was computed for Cu Kα (λ = 1.5418 Å).
Intensities are scaled so that the largest is 100.

Cell and atoms:
Lattice parameters (Å, degrees): 7.115 12.707 6.430 90.00 90.00 90.00
Space group Ibam (No. 72)
Asymmetric unit:
Sr1 0.170 0.143 0.000
Mg1 0.000 0.500 0.250
As1 0.226 0.387 0.000

Peak list (6 most intense, 2θ from 10° to 90°, by intensity)
two_theta  d_spacing  I_rel  hkl
27.7  3.215  100  0 0 2
39.9  2.260  89  0 4 2
28.1  3.177  82  0 4 0
29.5  3.023  78  2 1 1
37.7  2.385  67  2 0 2
25.0  3.558  65  2 0 0



Starting from a DFT-relaxed cell (PBE, Alexandria), the XRD peak list of Sr2MgAs was computed for Cu Kα (λ = 1.5418 Å).
Intensities are scaled so that the largest is 100.

Cell and atoms:
Lattice parameters (Å, degrees): 4.434 4.770 12.362 90.00 90.00 90.00
Space group Amm2 (No. 38)
Asymmetric unit:
Sr1 0.000 0.000 0.000
Sr2 0.500 0.000 0.289
Mg1 0.500 0.000 0.590
As1 0.000 0.000 0.728

Peak list (6 most intense, 2θ from 10° to 90°, by intensity)
two_theta  d_spacing  I_rel  hkl
28.4  3.141  100  1 1 1
35.2  2.551  45  1 1 3
28.6  3.118  45  0 1 3
37.7  2.385  25  0 2 0
35.4  2.535  25  1 0 4
28.9  3.091  25  0 0 4



Starting from a DFT-relaxed cell (PBE, Alexandria), the XRD peak list of Sr4MgAs was computed for Cu Kα (λ = 1.5418 Å).
Intensities are scaled so that the largest is 100.

Cell and atoms:
Lattice parameters (Å, degrees): 10.012 10.012 10.012 90.00 90.00 90.00
Space group F-43m (No. 216)
Asymmetric unit:
Sr1 0.124 0.124 0.124
Mg1 0.000 0.000 0.500
As1 0.250 0.250 0.750

Peak list (6 most intense, 2θ from 10° to 90°, by intensity)
two_theta  d_spacing  I_rel  hkl
29.6  3.019  100  3 1 1
30.9  2.890  59  2 2 2
47.2  1.927  36  3 3 3
51.6  1.770  34  4 4 0
15.3  5.781  30  1 1 1
61.4  1.509  24  6 2 2



Starting from a DFT-relaxed cell (PBE, Alexandria), the XRD peak list of MgTa2As was computed for Cu Kα (λ = 1.5418 Å).
Intensities are scaled so that the largest is 100.

Cell and atoms:
Lattice parameters (Å, degrees): 2.928 2.928 8.841 90.00 90.00 90.00
Space group P4mm (No. 99)
Asymmetric unit:
Mg1 0.000 0.000 0.000
Ta1 0.000 0.000 0.513
Ta2 0.500 0.500 0.258
As1 0.500 0.500 0.727

Peak list (6 most intense, 2θ from 10° to 90°, by intensity)
two_theta  d_spacing  I_rel  hkl
36.8  2.441  100  1 0 2
10.0  8.841  92  0 0 1
43.7  2.071  32  1 1 0
75.8  1.256  25  2 1 2
32.2  2.780  21  1 0 1
61.4  1.511  21  1 1 4



Starting from a DFT-relaxed cell (PBE, Alexandria), the XRD peak list of Mg2TeAs was computed for Cu Kα (λ = 1.5418 Å).
Intensities are scaled so that the largest is 100.

Cell and atoms:
Lattice parameters (Å, degrees): 3.346 4.015 14.653 90.00 90.00 90.00
Space group Imm2 (No. 44)
Asymmetric unit:
Mg1 0.000 0.000 0.000
Mg2 0.000 0.500 0.215
Te1 0.000 0.500 0.824
As1 0.000 0.000 0.567

Peak list (6 most intense, 2θ from 10° to 90°, by intensity)
two_theta  d_spacing  I_rel  hkl
37.1  2.425  100  1 1 2
28.8  3.101  48  0 1 3
23.0  3.872  47  0 1 1
24.3  3.663  45  0 0 4
32.4  2.760  33  1 0 3
27.3  3.262  30  1 0 1



Starting from a DFT-relaxed cell (PBE, Alexandria), the XRD peak list of MgTl2As was computed for Cu Kα (λ = 1.5418 Å).
Intensities are scaled so that the largest is 100.

Cell and atoms:
Lattice parameters (Å, degrees): 3.398 3.886 7.906 90.00 90.00 90.00
Space group Pmm2 (No. 25)
Asymmetric unit:
Mg1 0.000 0.000 0.000
Tl1 0.000 0.000 0.587
Tl2 0.500 0.500 0.273
As1 0.500 0.500 0.865

Peak list (6 most intense, 2θ from 10° to 90°, by intensity)
two_theta  d_spacing  I_rel  hkl
35.1  2.558  100  1 1 0
32.3  2.771  98  0 1 2
34.8  2.577  80  1 0 2
25.5  3.487  77  0 1 1
28.6  3.122  58  1 0 1
49.7  1.835  55  1 1 3



Starting from a DFT-relaxed cell (PBE, Alexandria), the XRD peak list of MgTl2As was computed for Cu Kα (λ = 1.5418 Å).
Intensities are scaled so that the largest is 100.

Cell and atoms:
Lattice parameters (Å, degrees): 7.524 4.328 7.618 90.00 109.13 90.00
Space group Cm (No. 8)
Asymmetric unit:
Mg1 0.000 0.000 0.000
Tl1 0.236 0.000 0.712
Tl2 0.454 0.000 0.366
As1 0.199 0.500 0.096

Peak list (6 most intense, 2θ from 10° to 90°, by intensity)
two_theta  d_spacing  I_rel  hkl
29.0  3.083  100  1 1 1
31.6  2.834  57  1 1 -2
24.1  3.699  48  2 0 -1
41.6  2.170  31  3 1 -1
57.2  1.609  20  3 1 -4
41.2  2.192  19  2 0 2